Computed powder X-ray diffraction pattern of TbTm5Sc4 for Cu Kα, 1.54184 Å, from a PBE-relaxed structure.
Peak positions follow from Bragg's law for the DFT cell and can differ from measured ones.

Principal peaks in the range 2θ = 10–90°, in order of rising 2θ:
- 12.85°, 6.889 Å, rel. 57
- 25.13°, 3.544 Å, rel. 80
- 25.87°, 3.444 Å, rel. 48
- 28.98°, 3.081 Å, rel. 100
- 31.21°, 2.866 Å, rel. 74
- 32.12°, 2.787 Å, rel. 40
- 34.73°, 2.583 Å, rel. 96
- 36.37°, 2.470 Å, rel. 85
- 41.69°, 2.166 Å, rel. 70
- 47.60°, 1.911 Å, rel. 34
- 56.69°, 1.624 Å, rel. 36
- 61.89°, 1.499 Å, rel. 32

Structure:
Cell: 9.7419 9.7419 6.0943 Å, 90.00 90.00 90.00°
Space group I4 (No. 79)
Asymmetric unit:
Tb  0.0000  0.0000  0.0000 [2 per cell]
Tm  0.0000  0.0000  0.4569 [2 per cell]
Tm  0.1460  0.7567  0.7265 [8 per cell]
Sc  0.0555  0.6429  0.2280 [8 per cell]

Computed powder X-ray diffraction pattern of Tb5Tm2Sc2 for Cu Kα, 1.54184 Å, from a PBE-relaxed structure.
Peak positions follow from Bragg's law for the DFT cell and can differ from measured ones.

Principal peaks in the range 2θ = 10–90°, in order of rising 2θ:
- 27.76°, 3.214 Å, rel. 77
- 32.13°, 2.786 Å, rel. 37
- 32.37°, 2.765 Å, rel. 67
- 32.69°, 2.740 Å, rel. 75
- 32.97°, 2.716 Å, rel. 100
- 33.16°, 2.702 Å, rel. 85
- 40.95°, 2.204 Å, rel. 18
- 46.49°, 1.953 Å, rel. 26
- 55.85°, 1.646 Å, rel. 25
- 58.52°, 1.577 Å, rel. 19
- 58.64°, 1.574 Å, rel. 17
- 67.02°, 1.396 Å, rel. 19

Structure:
Cell: 5.4795 20.3413 9.7831 Å, 90.00 90.00 90.00°
Space group Imma (No. 74)
Asymmetric unit:
Tb  0.0000  0.1097  0.1397 [8 per cell]
Tb  0.0000  0.1617  0.6283 [8 per cell]
Tb  0.0000  0.2500  0.9500 [4 per cell]
Tm  0.0000  0.0000  0.5000 [4 per cell]
Tm  0.0000  0.2500  0.3366 [4 per cell]
Sc  0.0000  0.0483  0.8385 [8 per cell]

Computed powder X-ray diffraction pattern of TbY2TmSc4 for Cu Kα, 1.54184 Å, from a PBE-relaxed structure.
Peak positions follow from Bragg's law for the DFT cell and can differ from measured ones.

Principal peaks in the range 2θ = 10–90°, in order of rising 2θ:
- 18.92°, 4.691 Å, rel. 20
- 20.52°, 4.328 Å, rel. 13
- 25.83°, 3.449 Å, rel. 20
- 32.21°, 2.779 Å, rel. 100
- 36.85°, 2.439 Å, rel. 34
- 38.38°, 2.345 Å, rel. 15
- 41.74°, 2.164 Å, rel. 11
- 53.10°, 1.725 Å, rel. 12
- 54.26°, 1.691 Å, rel. 22
- 63.48°, 1.465 Å, rel. 27
- 65.55°, 1.424 Å, rel. 13
- 89.18°, 1.098 Å, rel. 11

Structure:
Cell: 4.8781 4.8781 9.3819 Å, 90.00 90.00 90.00°
Space group P4/mmm (No. 123)
Asymmetric unit:
Tb  0.0000  0.0000  0.0000 [1 per cell]
Y  0.0000  0.0000  0.5000 [1 per cell]
Y  0.5000  0.5000  0.0000 [1 per cell]
Tm  0.5000  0.5000  0.5000 [1 per cell]
Sc  0.0000  0.5000  0.2508 [4 per cell]

Computed powder X-ray diffraction pattern of Tb2YTm5Sc for Cu Kα, 1.54184 Å, from a PBE-relaxed structure.
Peak positions follow from Bragg's law for the DFT cell and can differ from measured ones.

Principal peaks in the range 2θ = 10–90°, in order of rising 2θ:
- 27.41°, 3.254 Å, rel. 23
- 28.52°, 3.129 Å, rel. 19
- 31.18°, 2.869 Å, rel. 42
- 32.61°, 2.746 Å, rel. 44
- 32.98°, 2.716 Å, rel. 100
- 35.05°, 2.560 Å, rel. 12
- 43.86°, 2.064 Å, rel. 12
- 48.62°, 1.873 Å, rel. 9
- 52.65°, 1.738 Å, rel. 13
- 58.42°, 1.580 Å, rel. 19
- 60.74°, 1.525 Å, rel. 13
- 63.32°, 1.469 Å, rel. 15

Structure:
Cell: 5.4924 19.7188 10.2412 Å, 90.00 90.00 90.00°
Space group Cmc2_1 (No. 36)
Asymmetric unit:
Tb  0.0000  0.1114  0.0000 [4 per cell]
Tb  0.0000  0.1146  0.4204 [4 per cell]
Y  0.0000  0.4097  0.1411 [4 per cell]
Tm  0.0000  0.0174  0.7047 [4 per cell]
Tm  0.0000  0.2755  0.0055 [4 per cell]
Tm  0.0000  0.2998  0.3914 [4 per cell]
Tm  0.0000  0.3782  0.7072 [4 per cell]
Tm  0.0000  0.4808  0.4253 [4 per cell]
Sc  0.0000  0.1966  0.7003 [4 per cell]

Computed powder X-ray diffraction pattern of TbY2Tm4Sc for Cu Kα, 1.54184 Å, from a PBE-relaxed structure.
Peak positions follow from Bragg's law for the DFT cell and can differ from measured ones.

Principal peaks in the range 2θ = 10–90°, in order of rising 2θ:
- 17.95°, 4.942 Å, rel. 9
- 25.53°, 3.489 Å, rel. 8
- 31.39°, 2.850 Å, rel. 100
- 36.40°, 2.468 Å, rel. 50
- 52.42°, 1.745 Å, rel. 35
- 62.31°, 1.490 Å, rel. 14
- 62.43°, 1.488 Å, rel. 28
- 65.50°, 1.425 Å, rel. 12
- 85.76°, 1.133 Å, rel. 11
- 85.87°, 1.132 Å, rel. 6
- 88.47°, 1.105 Å, rel. 5
- 88.66°, 1.103 Å, rel. 11

Structure:
Cell: 4.9326 4.9326 9.8894 Å, 90.00 90.00 90.00°
Space group P4/mmm (No. 123)
Asymmetric unit:
Tb  0.0000  0.0000  0.0000 [1 per cell]
Y  0.0000  0.0000  0.5000 [1 per cell]
Y  0.5000  0.5000  0.0000 [1 per cell]
Tm  0.0000  0.5000  0.2547 [4 per cell]
Sc  0.5000  0.5000  0.5000 [1 per cell]

Computed powder X-ray diffraction pattern of TbYTmSc2 for Cu Kα, 1.54184 Å, from a PBE-relaxed structure.
Peak positions follow from Bragg's law for the DFT cell and can differ from measured ones.

Principal peaks in the range 2θ = 10–90°, in order of rising 2θ:
- 10.50°, 8.422 Å, rel. 55
- 26.27°, 3.393 Å, rel. 60
- 29.67°, 3.011 Å, rel. 44
- 31.56°, 2.835 Å, rel. 83
- 33.93°, 2.642 Å, rel. 100
- 42.46°, 2.129 Å, rel. 40
- 43.19°, 2.095 Å, rel. 23
- 50.62°, 1.803 Å, rel. 20
- 55.43°, 1.658 Å, rel. 50
- 62.17°, 1.493 Å, rel. 15
- 63.26°, 1.470 Å, rel. 23
- 70.88°, 1.330 Å, rel. 15

Structure:
Cell: 6.0220 16.8434 6.0211 Å, 90.00 90.00 90.00°
Space group Cmcm (No. 63)
Asymmetric unit:
Tb  0.0000  0.1531  0.2500 [4 per cell]
Y  0.0000  0.3470  0.2500 [4 per cell]
Tm  0.0000  0.2497  0.7500 [4 per cell]
Sc  0.2498  0.0000  0.0000 [8 per cell]

Computed powder X-ray diffraction pattern of TbScW for Cu Kα, 1.54184 Å, from a PBE-relaxed structure.
Peak positions follow from Bragg's law for the DFT cell and can differ from measured ones.

Principal peaks in the range 2θ = 10–90°, in order of rising 2θ:
- 24.16°, 3.684 Å, rel. 41
- 25.01°, 3.561 Å, rel. 89
- 27.69°, 3.221 Å, rel. 29
- 35.05°, 2.560 Å, rel. 61
- 35.23°, 2.548 Å, rel. 100
- 40.79°, 2.212 Å, rel. 50
- 43.17°, 2.095 Å, rel. 47
- 44.75°, 2.025 Å, rel. 25
- 50.99°, 1.791 Å, rel. 25
- 51.28°, 1.782 Å, rel. 31
- 57.19°, 1.611 Å, rel. 32
- 64.01°, 1.455 Å, rel. 25

Structure:
Cell: 5.4568 7.3671 14.2429 Å, 90.00 90.00 90.00°
Space group Fmmm (No. 69)
Asymmetric unit:
Tb  0.2500  0.2500  0.2500 [8 per cell]
Sc  0.0000  0.0000  0.0926 [8 per cell]
W  0.0000  0.1656  0.5000 [8 per cell]

Computed powder X-ray diffraction pattern of TbYSc6 for Cu Kα, 1.54184 Å, from a PBE-relaxed structure.
Peak positions follow from Bragg's law for the DFT cell and can differ from measured ones.

Principal peaks in the range 2θ = 10–90°, in order of rising 2θ:
- 15.07°, 5.879 Å, rel. 15
- 22.57°, 3.940 Å, rel. 31
- 26.25°, 3.394 Å, rel. 13
- 30.41°, 2.940 Å, rel. 25
- 33.77°, 2.654 Å, rel. 24
- 34.89°, 2.572 Å, rel. 100
- 44.18°, 2.050 Å, rel. 9
- 46.07°, 1.970 Å, rel. 15
- 54.03°, 1.697 Å, rel. 18
- 61.13°, 1.516 Å, rel. 18
- 65.25°, 1.430 Å, rel. 19
- 65.95°, 1.417 Å, rel. 14

Structure:
Cell: 5.3086 6.7895 11.7571 Å, 90.00 90.00 90.00°
Space group Amm2 (No. 38)
Asymmetric unit:
Tb  0.0000  0.0000  0.0000 [2 per cell]
Y  0.5000  0.0000  0.3325 [2 per cell]
Sc  0.0000  0.0000  0.5034 [2 per cell]
Sc  0.0000  0.2431  0.7475 [4 per cell]
Sc  0.5000  0.0000  0.8295 [2 per cell]
Sc  0.5000  0.2437  0.5847 [4 per cell]